# LiFeSe4O10
Theoretical PXRD pattern, Cu Kα X-rays. Input: the GGA+U geometry in Alexandria.
Intensities are scaled so that the largest is 100.

Atomic structure:
```
32
Lattice="6.093 0.000 0.000 0.000 6.927 0.000 0.000 0.000 10.478" Properties=species:S:1:pos:R:3 pbc="T T T"
Li 0.000 0.000 0.000
Li 0.000 3.463 5.239
Fe 3.047 0.000 9.170
Fe 3.047 3.463 3.931
Se 1.322 0.935 2.910
Se 1.322 2.528 8.149
Se 1.710 4.425 0.913
Se 1.710 5.965 6.153
Se 4.383 0.962 6.153
Se 4.383 2.502 0.913
Se 4.771 4.399 8.149
Se 4.771 5.992 2.910
O 0.000 0.000 3.880
O 0.000 3.463 9.119
O 0.485 1.421 1.540
O 0.485 2.042 6.779
O 1.338 1.103 9.141
O 1.338 2.361 3.902
O 1.930 4.490 5.316
O 1.930 5.901 0.077
O 2.468 4.758 2.422
O 2.468 5.632 7.662
O 3.047 0.000 5.280
O 3.047 3.463 0.041
O 3.625 1.295 7.662
O 3.625 2.169 2.422
O 4.163 1.026 0.077
O 4.163 2.437 5.316
O 4.755 4.566 3.902
O 4.755 5.824 9.141
O 5.608 4.885 6.779
O 5.608 5.506 1.540
```

Top 6 peaks for 2θ from 10° to 90°, in order of rising 2θ:
d [Å]  Rel. int.  h k l
4.193  30.0  1 1 1
3.446  100.0  1 1 2
3.119  31.3  0 1 3
2.893  74.8  1 2 1
2.179  16.5  2 1 3
1.720  27.1  1 2 5